Record 1
This entry pairs a crystal structure of Cs4CO4 with its simulated PXRD pattern. Radiation: CuKα. Structure: the GGA-PBE geometry in Alexandria.
Intensities are scaled so that the largest is 100.

a = 11.395 Å, b = 11.395 Å, c = 5.222 Å
α = 90.00°, β = 90.00°, γ = 90.00°
Space group I-42m (No. 121)
Symmetry-distinct sites (fractional):
Cs 0.151 0.151 0.339 x8
C 0.000 0.000 0.000 x2
O 0.073 0.073 0.842 x8

Main lines, sorted by position (15 to 90 degrees two-theta):
d [Å], I (rel.)
3.647, 100
3.603, 32
3.072, 24
2.849, 21
2.686, 24
2.484, 18
2.443, 23
2.191, 24
2.089, 11
1.961, 32
1.698, 13
1.582, 14

=====

Record 2
This entry pairs a crystal structure of Cs4CO4 with its simulated PXRD pattern. Radiation: CuKα. Structure: the GGA-PBE geometry in Alexandria.
Intensities are scaled so that the largest is 100.

a = 8.300 Å, b = 8.585 Å, c = 8.225 Å
α = 90.00°, β = 109.21°, γ = 90.00°
Space group Cm (No. 8)
Symmetry-distinct sites (fractional):
Cs 0.000 0.243 0.000 x4
Cs 0.390 0.252 0.521 x4
C 0.223 0.500 0.724 x2
O 0.142 0.500 0.543 x2
O 0.177 0.363 0.797 x4
O 0.408 0.500 0.765 x2

Main lines, sorted by position (15 to 90 degrees two-theta):
d [Å], I (rel.)
4.293, 100
4.080, 39
3.919, 45
3.883, 77
3.368, 32
2.957, 45
2.894, 53
2.880, 87
2.650, 35
2.216, 30
2.090, 27
1.768, 30

=====

Record 3
This entry pairs a crystal structure of Cs4C2O5 with its simulated PXRD pattern. Radiation: CuKα. Structure: the GGA-PBE geometry in Alexandria.
Intensities are scaled so that the largest is 100.

a = 10.798 Å, b = 6.250 Å, c = 7.931 Å
α = 90.00°, β = 93.86°, γ = 90.00°
Space group Cm (No. 8)
Symmetry-distinct sites (fractional):
Cs 0.000 0.000 0.000 x2
Cs 0.001 0.000 0.497 x2
Cs 0.166 0.500 0.727 x2
Cs 0.330 0.000 0.226 x2
C 0.182 0.500 0.253 x2
C 0.335 0.000 0.756 x2
O 0.120 0.321 0.269 x4
O 0.218 0.000 0.793 x2
O 0.393 0.181 0.738 x4

Main lines, sorted by position (15 to 90 degrees two-theta):
d [Å], I (rel.)
5.399, 20
4.536, 25
4.395, 22
3.296, 29
3.245, 62
3.143, 60
3.125, 45
3.114, 100
3.091, 29
2.268, 24
2.198, 21
1.977, 20

=====

Record 4
This entry pairs a crystal structure of Cs4CO4 with its simulated PXRD pattern. Radiation: CuKα. Structure: the GGA-PBE geometry in Alexandria.
Intensities are scaled so that the largest is 100.

a = 6.272 Å, b = 6.272 Å, c = 6.272 Å
α = 90.00°, β = 90.00°, γ = 90.00°
Space group P-43m (No. 215)
Symmetry-distinct sites (fractional):
Cs 0.231 0.231 0.769 x4
C 0.500 0.500 0.500 x1
O 0.367 0.367 0.367 x4

Main lines, sorted by position (15 to 90 degrees two-theta):
d [Å], I (rel.)
3.621, 100
3.136, 56
2.561, 13
2.218, 42
1.891, 51
1.811, 13
1.478, 6
1.439, 16
1.403, 15
1.280, 11
1.207, 13
1.165, 6

=====

Record 5
This entry pairs a crystal structure of CsC3O with its simulated PXRD pattern. Radiation: CuKα. Structure: the GGA-PBE geometry in Alexandria.
Intensities are scaled so that the largest is 100.

a = 4.257 Å, b = 4.257 Å, c = 4.257 Å
α = 90.00°, β = 90.00°, γ = 90.00°
Space group Pm-3m (No. 221)
Symmetry-distinct sites (fractional):
Cs 0.000 0.000 0.000 x1
C 0.000 0.500 0.500 x3
O 0.500 0.500 0.500 x1

Main lines, sorted by position (15 to 90 degrees two-theta):
d [Å], I (rel.)
4.257, 64
3.010, 100
2.458, 43
2.129, 31
1.904, 32
1.738, 39
1.505, 19
1.419, 16
1.346, 17
1.284, 16
1.181, 8
1.138, 20

=====

Record 6
This entry pairs a crystal structure of Cs3CO with its simulated PXRD pattern. Radiation: CuKα. Structure: the GGA-PBE geometry in Alexandria.
Intensities are scaled so that the largest is 100.

a = 5.834 Å, b = 5.834 Å, c = 5.834 Å
α = 90.00°, β = 90.00°, γ = 90.00°
Space group Pm-3m (No. 221)
Symmetry-distinct sites (fractional):
Cs 0.000 0.000 0.500 x3
C 0.500 0.500 0.500 x1
O 0.000 0.000 0.000 x1

Main lines, sorted by position (15 to 90 degrees two-theta):
d [Å], I (rel.)
5.834, 35
4.125, 17
3.368, 100
2.917, 61
2.609, 19
2.063, 44
1.759, 45
1.684, 15
1.338, 19
1.305, 19
1.191, 15
1.123, 15

=====

Record 7
This entry pairs a crystal structure of Cs4CO4 with its simulated PXRD pattern. Radiation: CuKα. Structure: the GGA-PBE geometry in Alexandria.
Intensities are scaled so that the largest is 100.

a = 14.136 Å, b = 5.239 Å, c = 7.514 Å
α = 90.00°, β = 115.10°, γ = 90.00°
Space group C2 (No. 5)
Symmetry-distinct sites (fractional):
Cs 0.130 0.000 0.338 x4
Cs 0.133 0.322 0.873 x4
C 0.000 0.660 0.000 x2
O 0.065 0.503 0.162 x4
O 0.066 0.818 0.943 x4

Main lines, sorted by position (15 to 90 degrees two-theta):
d [Å], I (rel.)
4.849, 21
3.731, 64
3.679, 100
3.456, 80
3.308, 27
3.200, 53
3.023, 23
2.584, 30
2.409, 31
2.299, 21
2.194, 24
1.964, 21

=====

Record 8
This entry pairs a crystal structure of CsSbC2O6 with its simulated PXRD pattern. Radiation: CuKα. Structure: the GGA-PBE geometry in Alexandria.
Intensities are scaled so that the largest is 100.

a = 9.551 Å, b = 10.553 Å, c = 7.714 Å
α = 90.00°, β = 113.22°, γ = 90.00°
Space group C2/c (No. 15)
Symmetry-distinct sites (fractional):
Cs 0.000 0.118 0.250 x4
Sb 0.000 0.438 0.750 x4
C 0.209 0.392 0.263 x8
O 0.069 0.406 0.121 x8
O 0.204 0.196 0.729 x8
O 0.235 0.483 0.391 x8

Main lines, sorted by position (15 to 90 degrees two-theta):
d [Å], I (rel.)
5.277, 32
4.389, 45
4.233, 46
3.545, 70
3.518, 26
3.484, 100
3.265, 21
2.741, 39
2.290, 42
2.168, 19
1.923, 22
1.759, 24

=====

Record 9
This entry pairs a crystal structure of CsTmC2O6 with its simulated PXRD pattern. Radiation: CuKα. Structure: the GGA-PBE geometry in Alexandria.
Intensities are scaled so that the largest is 100.

a = 9.137 Å, b = 9.838 Å, c = 7.758 Å
α = 90.00°, β = 113.09°, γ = 90.00°
Space group C2/c (No. 15)
Symmetry-distinct sites (fractional):
Cs 0.000 0.110 0.250 x4
Tm 0.000 0.342 0.750 x4
C 0.210 0.389 0.206 x8
O 0.099 0.341 0.056 x8
O 0.156 0.175 0.715 x8
O 0.188 0.499 0.779 x8

Main lines, sorted by position (15 to 90 degrees two-theta):
d [Å], I (rel.)
5.675, 18
4.203, 46
4.050, 66
3.569, 65
3.474, 19
3.307, 100
2.638, 33
2.258, 30
2.142, 19
2.123, 15
2.062, 21
1.683, 18

=====

Record 10
This entry pairs a crystal structure of Cs4UC3O11 with its simulated PXRD pattern. Radiation: CuKα. Structure: the GGA-PBE geometry in Alexandria.
Intensities are scaled so that the largest is 100.

a = 11.780 Å, b = 9.763 Å, c = 13.246 Å
α = 90.00°, β = 92.37°, γ = 90.00°
Space group C2/c (No. 15)
Symmetry-distinct sites (fractional):
Cs 0.106 0.173 0.037 x8
Cs 0.185 0.339 0.343 x8
U 0.000 0.309 0.750 x4
C 0.000 0.011 0.750 x4
C 0.116 0.456 0.594 x8
O 0.000 0.119 0.250 x4
O 0.038 0.085 0.675 x8
O 0.059 0.481 0.164 x8
O 0.096 0.323 0.588 x8
O 0.142 0.309 0.816 x8
O 0.186 0.483 0.039 x8

Main lines, sorted by position (15 to 90 degrees two-theta):
d [Å], I (rel.)
5.033, 34
4.882, 32
3.761, 100
3.590, 84
3.545, 80
2.936, 42
2.846, 74
2.648, 37
2.516, 23
2.327, 39
2.222, 26
2.217, 33

=====

Record 11
This entry pairs a crystal structure of CsPC2 with its simulated PXRD pattern. Radiation: CuKα. Structure: the GGA-PBE geometry in Alexandria.
Intensities are scaled so that the largest is 100.

a = 5.696 Å, b = 5.696 Å, c = 8.115 Å
α = 90.00°, β = 90.00°, γ = 90.00°
Space group I4_1/amd (No. 141, origin choice 2)
Symmetry-distinct sites (fractional):
Cs 0.000 0.250 0.375 x4
P 0.000 0.250 0.875 x4
C 0.000 0.000 0.000 x8

Main lines, sorted by position (15 to 90 degrees two-theta):
d [Å], I (rel.)
4.662, 41
2.859, 100
2.848, 49
2.444, 16
2.430, 32
2.014, 14
1.855, 8
1.652, 19
1.646, 37
1.429, 14
1.282, 8
1.274, 16

=====

Record 12
This entry pairs a crystal structure of CsTePC with its simulated PXRD pattern. Radiation: CuKα. Structure: the GGA-PBE geometry in Alexandria.
Intensities are scaled so that the largest is 100.

a = 6.054 Å, b = 6.085 Å, c = 6.546 Å
α = 90.66°, β = 117.45°, γ = 119.44°
Space group P1 (No. 1)
Symmetry-distinct sites (fractional):
Cs 0.000 0.000 0.000 x1
Te 0.900 0.454 0.351 x1
P 0.467 0.237 0.700 x1
C 0.659 0.333 0.988 x1

Main lines, sorted by position (15 to 90 degrees two-theta):
d [Å], I (rel.)
5.526, 15
5.032, 21
4.463, 100
4.419, 50
3.258, 84
3.061, 40
3.042, 40
3.027, 39
2.812, 29
2.160, 20
2.063, 17
1.931, 14

=====

Record 13
This entry pairs a crystal structure of Cs2PbC with its simulated PXRD pattern. Radiation: CuKα. Structure: the GGA-PBE geometry in Alexandria.
Intensities are scaled so that the largest is 100.

a = 13.764 Å, b = 13.764 Å, c = 4.354 Å
α = 90.00°, β = 90.00°, γ = 90.00°
Space group I-42d (No. 122)
Symmetry-distinct sites (fractional):
Cs 0.049 0.250 0.125 x8
Pb 0.000 0.000 0.500 x4
C 0.000 0.000 0.000 x4

Main lines, sorted by position (15 to 90 degrees two-theta):
d [Å], I (rel.)
4.353, 23
3.554, 100
3.441, 48
3.078, 37
2.870, 41
2.361, 12
2.008, 24
1.947, 16
1.856, 14
1.695, 12
1.669, 14
1.331, 13